Structure and calculated powder diffractogram of BaPuZn10 (a GGA-PBE-relaxed structure; Cu Kα X-rays).
Kinematic intensities with the Lorentz-polarization factor, no thermal factor.

Cell and atoms:
Unit cell a=4.302 b=5.549 c=9.535 alpha=90.00 beta=90.00 gamma=90.00
Space group Pmmm (No. 47)
One atom of each set of equivalent atoms:
1 Ba 0.000 0.000 0.000 x1
2 Pu 0.000 0.500 0.500 x1
3 Zn 0.000 0.000 0.344 x2
4 Zn 0.000 0.500 0.177 x2
5 Zn 0.500 0.000 0.500 x1
6 Zn 0.500 0.263 0.268 x4
7 Zn 0.500 0.500 0.000 x1

Principal peaks in the range 2θ from 5° to 70°, low angle first:
d [Å]  intensity
9.535  238
3.200  737
2.774  191
2.758  313
2.398  356
2.332  499
2.322  1000
2.151  366
1.601  270
1.499  245

***

Structure and calculated powder diffractogram of Hg (a GGA-PBE-relaxed structure; Cu Kα X-rays).
Kinematic intensities with the Lorentz-polarization factor, no thermal factor.

Cell and atoms:
Unit cell a=3.269 b=5.598 c=6.522 alpha=87.49 beta=76.29 gamma=85.10
Space group P-1 (No. 2)
One atom of each set of equivalent atoms:
1 Hg 0.160 0.244 0.131 x2
2 Hg 0.321 0.253 0.621 x2

Principal peaks in the range 2θ from 5° to 70°, low angle first:
d [Å]  intensity
2.850  445
2.786  1000
2.726  469
2.666  350
2.559  325
2.016  142
1.968  144
1.813  125
1.660  147
1.584  119

***

Structure and calculated powder diffractogram of CaNd2Hg7 (a GGA-PBE-relaxed structure; Cu Kα X-rays).
Kinematic intensities with the Lorentz-polarization factor, no thermal factor.

Cell and atoms:
Unit cell a=5.0741 b=5.0741 c=12.2804 alpha=90.00 beta=90.00 gamma=120.00
Space group P3m1 (No. 156)
One atom of each set of equivalent atoms:
1 Ca 0.0000 0.0000 0.0000 x1
2 Nd 0.3333 0.6667 0.6905 x1
3 Nd 0.6667 0.3333 0.3670 x1
4 Hg 0.0000 0.0000 0.2742 x1
5 Hg 0.0000 0.0000 0.5571 x1
6 Hg 0.3333 0.6667 0.1903 x1
7 Hg 0.3333 0.6667 0.4465 x1
8 Hg 0.3333 0.6667 0.9393 x1
9 Hg 0.6667 0.3333 0.0922 x1
10 Hg 0.6667 0.3333 0.8164 x1

Principal peaks in the range 2θ from 5° to 70°, low angle first:
d [Å]  intensity
12.280  165
4.137  200
2.995  402
2.537  1000
2.517  912
1.936  118
1.787  332
1.539  114
1.465  186
1.461  345

***

Structure and calculated powder diffractogram of TbY5Te4 (a GGA-PBE-relaxed structure; Cu Kα X-rays).
Kinematic intensities with the Lorentz-polarization factor, no thermal factor.

Cell and atoms:
Unit cell a=9.153 b=9.783 c=7.460 alpha=90.00 beta=90.00 gamma=90.00
Space group Pmmn (No. 59, origin choice 2)
One atom of each set of equivalent atoms:
1 Tb 0.250 0.250 0.139 x2
2 Y 0.055 0.057 0.761 x8
3 Y 0.250 0.750 0.787 x2
4 Te 0.019 0.250 0.438 x4
5 Te 0.250 0.548 0.082 x4

Principal peaks in the range 2θ from 5° to 70°, low angle first:
d [Å]  intensity
4.091  359
3.901  1000
2.988  882
2.824  290
2.773  277
2.489  805
2.446  422
2.400  274
2.163  339
2.134  422

***

Structure and calculated powder diffractogram of PrSm7Y12 (a GGA-PBE-relaxed structure; Cu Kα X-rays).
Kinematic intensities with the Lorentz-polarization factor, no thermal factor.

Cell and atoms:
Unit cell a=11.332 b=11.332 c=11.332 alpha=90.00 beta=90.00 gamma=90.00
Space group Im-3m (No. 229)
One atom of each set of equivalent atoms:
1 Pr 0.000 0.000 0.000 x2
2 Sm 0.000 0.000 0.500 x6
3 Sm 0.250 0.250 0.250 x8
4 Y 0.000 0.251 0.251 x24

Principal peaks in the range 2θ from 5° to 70°, low angle first:
d [Å]  intensity
5.666  152
4.006  628
3.271  447
2.833  1000
2.313  299
2.003  729
1.792  139
1.708  193
1.636  253
1.514  162

***

Structure and calculated powder diffractogram of Dy2TmSc7 (a GGA-PBE-relaxed structure; Cu Kα X-rays).
Kinematic intensities with the Lorentz-polarization factor, no thermal factor.

Cell and atoms:
Unit cell a=17.370 b=3.345 c=9.413 alpha=90.00 beta=105.86 gamma=90.00
Space group C2/m (No. 12)
One atom of each set of equivalent atoms:
1 Dy 0.199 0.000 0.105 x4
2 Tm 0.000 0.000 0.000 x2
3 Sc 0.000 0.000 0.500 x2
4 Sc 0.099 0.500 0.309 x4
5 Sc 0.099 0.500 0.791 x4
6 Sc 0.198 0.000 0.594 x4

Principal peaks in the range 2θ from 5° to 70°, low angle first:
d [Å]  intensity
9.054  502
3.139  120
2.726  1000
2.364  333
2.353  161
1.672  111
1.669  108
1.666  108
1.426  191
1.421  111